No. 1
Al4Ir3: theoretical powder XRD pattern (Cu Kα (weighted mean of Kα1 and Kα2)), based on DFT lattice parameters and positions (PBE).

a b c (Å): 4.2466 4.2466 20.3358
angles (deg): 90.00 90.00 120.00
Space group R-3m (No. 166, hexagonal axes)
Inequivalent atoms, fractional coordinates:
Al  0.0000  0.0000  0.1159
Al  0.0000  0.0000  0.3704
Ir  0.0000  0.0000  0.2472
Ir  0.0000  0.0000  0.5000

Top 6 peaks for 2θ = 5–70°, in order of rising 2θ:
Position (°2θ)  I_rel  h k l
13.06  433  0 0 3
24.60  251  1 0 1
29.99  1000  1 0 4
42.58  847  1 1 0
43.27  784  0 1 8
62.32  268  2 0 8

No. 2
Al3Ir: theoretical powder XRD pattern (Cu Kα (weighted mean of Kα1 and Kα2)), based on DFT lattice parameters and positions (PBE).

a b c (Å): 2.864 2.864 7.560
angles (deg): 90.00 90.00 90.00
Space group P4/mmm (No. 123)
Inequivalent atoms, fractional coordinates:
Al  0.000  0.000  0.000
Al  0.500  0.500  0.282
Ir  0.000  0.000  0.500

Top 6 peaks for 2θ = 5–70°, in order of rising 2θ:
Position (°2θ)  I_rel  h k l
11.71  1000  0 0 1
23.54  194  0 0 2
33.46  266  1 0 1
39.47  527  1 0 2
44.75  191  1 1 0
48.11  228  0 0 4

No. 3
AlIr3: theoretical powder XRD pattern (Cu Kα (weighted mean of Kα1 and Kα2)), based on DFT lattice parameters and positions (PBE).

a b c (Å): 9.051 2.767 4.689
angles (deg): 90.00 102.22 90.00
Space group C2/m (No. 12)
Inequivalent atoms, fractional coordinates:
Al  0.000  0.000  0.000
Ir  0.000  0.500  0.500
Ir  0.244  0.500  0.252

Top 6 peaks for 2θ = 5–70°, in order of rising 2θ:
Position (°2θ)  I_rel  h k l
19.37  246  0 0 1
40.31  503  2 0 -2
40.49  1000  1 1 1
40.80  483  4 0 0
46.48  672  3 1 -1
48.45  300  2 0 2

No. 4
AlIr3: theoretical powder XRD pattern (Cu Kα (weighted mean of Kα1 and Kα2)), based on DFT lattice parameters and positions (PBE).

a b c (Å): 2.780 4.061 5.229
angles (deg): 90.00 101.70 90.00
Space group P2/m (No. 10)
Inequivalent atoms, fractional coordinates:
Al  0.000  0.000  0.000
Ir  0.000  0.000  0.500
Ir  0.385  0.500  0.243

Top 6 peaks for 2θ = 5–70°, in order of rising 2θ:
Position (°2θ)  I_rel  h k l
39.87  805  1 1 0
40.57  277  1 0 1
40.82  484  1 1 -1
41.71  1000  0 1 2
43.33  345  1 0 -2
44.63  415  0 2 0

No. 5
Al6Ir5: theoretical powder XRD pattern (Cu Kα (weighted mean of Kα1 and Kα2)), based on DFT lattice parameters and positions (PBE).

a b c (Å): 4.268 5.874 12.797
angles (deg): 90.00 90.00 90.00
Space group Immm (No. 71)
Inequivalent atoms, fractional coordinates:
Al  0.000  0.231  0.000
Al  0.000  0.260  0.338
Ir  0.000  0.000  0.171
Ir  0.000  0.000  0.500
Ir  0.000  0.500  0.162

Top 6 peaks for 2θ = 5–70°, in order of rising 2θ:
Position (°2θ)  I_rel  h k l
29.61  678  1 0 3
30.43  320  0 2 0
42.37  520  2 0 0
42.98  1000  1 2 3
53.05  278  2 2 0
61.46  173  2 0 6

No. 6
Al4Ir5: theoretical powder XRD pattern (Cu Kα (weighted mean of Kα1 and Kα2)), based on DFT lattice parameters and positions (PBE).

a b c (Å): 7.4254 7.4254 5.4121
angles (deg): 90.00 90.00 120.00
Space group P6_3/mcm (No. 193)
Inequivalent atoms, fractional coordinates:
Al  0.0000  0.0000  0.0000
Al  0.0000  0.3674  0.2500
Ir  0.0000  0.3024  0.7500
Ir  0.3333  0.6667  0.0000

Top 6 peaks for 2θ = 5–70°, in order of rising 2θ:
Position (°2θ)  I_rel  h k l
13.77  150  1 0 0
27.75  173  2 0 0
29.17  808  1 1 1
41.28  1000  1 1 2
42.16  884  3 0 0
60.48  304  2 2 2

No. 7
Al9Ir2: theoretical powder XRD pattern (Cu Kα (weighted mean of Kα1 and Kα2)), based on DFT lattice parameters and positions (PBE).

a b c (Å): 6.389 6.473 8.765
angles (deg): 90.00 95.04 90.00
Space group P2_1/c (No. 14)
Inequivalent atoms, fractional coordinates:
Al  0.000  0.000  0.000
Al  0.099  0.215  0.727
Al  0.212  0.604  0.039
Al  0.389  0.195  0.998
Al  0.400  0.520  0.771
Ir  0.264  0.623  0.331

Top 6 peaks for 2θ = 5–70°, in order of rising 2θ:
Position (°2θ)  I_rel  h k l
19.56  1000  1 1 0
21.49  740  1 1 -1
22.64  612  1 1 1
29.43  637  0 2 1
45.11  593  1 2 3
45.30  571  3 1 -1

No. 8
Al4Ir5: theoretical powder XRD pattern (Cu Kα (weighted mean of Kα1 and Kα2)), based on DFT lattice parameters and positions (PBE).

a b c (Å): 8.210 8.210 3.997
angles (deg): 90.00 90.00 90.00
Space group I4/mmm (No. 139)
Inequivalent atoms, fractional coordinates:
Al  0.000  0.302  0.000
Ir  0.000  0.000  0.000
Ir  0.169  0.169  0.500

Top 6 peaks for 2θ = 5–70°, in order of rising 2θ:
Position (°2θ)  I_rel  h k l
15.26  537  1 1 0
33.13  313  2 1 1
39.93  1000  3 0 1
45.39  178  0 0 2
46.96  310  3 3 0
67.36  213  3 3 2

No. 9
Al4Ir: theoretical powder XRD pattern (Cu Kα (weighted mean of Kα1 and Kα2)), based on DFT lattice parameters and positions (PBE).

a b c (Å): 12.580 12.139 8.886
angles (deg): 90.00 133.20 90.00
Space group C2/c (No. 15)
Inequivalent atoms, fractional coordinates:
Al  0.000  0.133  0.250
Al  0.028  0.322  0.099
Al  0.035  0.099  0.953
Al  0.093  0.445  0.724
Al  0.230  0.461  0.600
Al  0.237  0.214  0.847
Al  0.250  0.250  0.500
Ir  0.000  0.270  0.750
Ir  0.203  0.074  0.608

Top 6 peaks for 2θ = 5–70°, in order of rising 2θ:
Position (°2θ)  I_rel  h k l
20.34  1000  2 2 -1
22.77  758  1 1 1
23.18  760  1 1 -2
24.17  844  1 3 -1
24.33  741  2 2 0
43.11  749  5 3 -3

No. 10
KAlIrO6: theoretical powder XRD pattern (Cu Kα (weighted mean of Kα1 and Kα2)), based on DFT lattice parameters and positions (PBE).

a b c (Å): 5.0937 5.0937 6.0550
angles (deg): 90.00 90.00 120.00
Space group P312 (No. 149)
Inequivalent atoms, fractional coordinates:
K  0.0000  0.0000  0.0000
Al  0.3333  0.6667  0.5000
Ir  0.6667  0.3333  0.5000
O  0.3895  0.0024  0.6761

Top 6 peaks for 2θ = 5–70°, in order of rising 2θ:
Position (°2θ)  I_rel  h k l
14.63  651  0 0 1
20.13  498  1 0 0
24.97  1000  1 0 1
35.24  205  1 1 0
38.34  211  2 -1 1
46.60  341  2 -1 2

No. 11
La2MgAl2Ir5: theoretical powder XRD pattern (Cu Kα (weighted mean of Kα1 and Kα2)), based on DFT lattice parameters and positions (PBE).

a b c (Å): 10.175 10.175 3.527
angles (deg): 90.00 90.00 90.00
Space group P4/mbm (No. 127)
Inequivalent atoms, fractional coordinates:
La  0.177  0.323  0.000
Mg  0.000  0.000  0.000
Al  0.122  0.622  0.000
Ir  0.000  0.500  0.500
Ir  0.064  0.788  0.500

Top 6 peaks for 2θ = 5–70°, in order of rising 2θ:
Position (°2θ)  I_rel  h k l
25.25  395  0 0 1
32.11  622  2 1 1
36.41  955  4 1 0
37.85  1000  3 1 1
40.96  530  3 2 1
65.01  356  4 1 2

No. 12
La2Al6IrRu: theoretical powder XRD pattern (Cu Kα (weighted mean of Kα1 and Kα2)), based on DFT lattice parameters and positions (PBE).

a b c (Å): 6.701 6.723 9.490
angles (deg): 90.00 90.00 90.00
Space group Immm (No. 71)
Inequivalent atoms, fractional coordinates:
La  0.000  0.000  0.250
Al  0.000  0.500  0.248
Al  0.248  0.252  0.000
Ir  0.000  0.500  0.500
Ru  0.000  0.500  0.000

Top 6 peaks for 2θ = 5–70°, in order of rising 2θ:
Position (°2θ)  I_rel  h k l
26.56  1000  2 0 0
37.92  397  2 2 0
46.87  288  2 0 4
46.95  143  3 1 2
54.73  227  4 0 0
61.81  157  3 3 2

No. 13
La2AlSi3Ir4: theoretical powder XRD pattern (Cu Kα (weighted mean of Kα1 and Kα2)), based on DFT lattice parameters and positions (PBE).

a b c (Å): 4.202 4.202 10.205
angles (deg): 90.00 90.00 90.00
Space group P-4m2 (No. 115)
Inequivalent atoms, fractional coordinates:
La  0.000  0.500  0.247
Al  0.500  0.500  0.000
Si  0.000  0.000  0.000
Si  0.000  0.500  0.626
Ir  0.000  0.000  0.500
Ir  0.000  0.500  0.866
Ir  0.500  0.500  0.500

Top 6 peaks for 2θ = 5–70°, in order of rising 2θ:
Position (°2θ)  I_rel  h k l
26.20  334  0 0 3
27.50  310  1 0 2
31.36  676  1 1 1
33.91  540  1 0 3
34.94  1000  1 1 2
43.05  648  2 0 0